[1]
Starting from a crystal structure in Alexandria, relaxed with PBE, the powder X-ray diffraction pattern of Na5B7C3 was computed for Cu Kα (weighted mean of Kα1 and Kα2).

Peak list (6 most intense, 2θ = 10–90°, by angle)
2θ (°)	intensity
36.42	32
40.87	96
41.96	76
42.19	100
42.25	98
76.83	26

Cell and atoms:
a b c (Å): 4.9347 7.6280 9.0609
angles (deg): 76.78 74.61 73.82
Fractional positions:
Na  0.0000  0.0000  0.0000
Na  0.0000  0.5000  0.5000
Na  0.1943  0.1008  0.5021
Na  0.2029  0.6007  0.9983
Na  0.3945  0.2022  0.9987
Na  0.4024  0.6999  0.5035
Na  0.5976  0.3001  0.4965
Na  0.6055  0.7978  0.0013
Na  0.7971  0.3993  0.0017
Na  0.8057  0.8992  0.4979
B  0.0305  0.8433  0.7515
B  0.1805  0.7360  0.2512
B  0.2377  0.4513  0.7494
B  0.2386  0.9633  0.2496
B  0.3438  0.3601  0.2496
B  0.3918  0.8436  0.7511
B  0.3974  0.0757  0.7492
B  0.6026  0.9243  0.2508
B  0.6082  0.1564  0.2489
B  0.6562  0.6399  0.7504
B  0.7614  0.0367  0.7504
B  0.7623  0.5487  0.2506
B  0.8195  0.2640  0.7488
B  0.9695  0.1567  0.2485
C  0.0127  0.3625  0.2489
C  0.1552  0.2561  0.7483
C  0.4278  0.5521  0.2512
C  0.5722  0.4479  0.7488
C  0.8448  0.7439  0.2517
C  0.9873  0.6375  0.7511


[2]
Starting from a crystal structure in Alexandria, relaxed with PBE, the powder X-ray diffraction pattern of Tb12PmSc7 was computed for Cu Kα (weighted mean of Kα1 and Kα2).

Peak list (6 most intense, 2θ = 10–90°, by angle)
2θ (°)	intensity
26.14	32
26.93	38
30.25	72
32.08	100
32.30	44
35.97	47

Cell and atoms:
a b c (Å): 9.0613 9.0613 9.0613
angles (deg): 108.04 108.04 108.04
Fractional positions:
Tb  0.0265  0.6924  0.1335
Tb  0.1335  0.0265  0.6924
Tb  0.1628  0.4347  0.6409
Tb  0.3076  0.8665  0.9735
Tb  0.3591  0.8372  0.5653
Tb  0.4347  0.6409  0.1628
Tb  0.5653  0.3591  0.8372
Tb  0.6409  0.1628  0.4347
Tb  0.6924  0.1335  0.0265
Tb  0.8372  0.5653  0.3591
Tb  0.8665  0.9735  0.3076
Tb  0.9735  0.3076  0.8665
Pm  0.5000  0.5000  0.5000
Sc  0.0000  0.0000  0.0000
Sc  0.1084  0.3872  0.2593
Sc  0.2593  0.1084  0.3872
Sc  0.3872  0.2593  0.1084
Sc  0.6128  0.7407  0.8916
Sc  0.7407  0.8916  0.6128
Sc  0.8916  0.6128  0.7407


[3]
Starting from a crystal structure in Alexandria, relaxed with PBE, the powder X-ray diffraction pattern of BaSrGe3 was computed for Cu Kα (weighted mean of Kα1 and Kα2).

Peak list (6 most intense, 2θ = 10–90°, by angle)
2θ (°)	intensity
28.97	51
29.28	100
36.59	32
38.68	38
42.12	22
54.29	28

Cell and atoms:
a b c (Å): 14.0734 14.0734 4.2902
angles (deg): 90.00 90.00 159.90
Fractional positions:
Ba  0.0743  0.9257  0.7500
Ba  0.9257  0.0743  0.2500
Sr  0.2024  0.7976  0.2500
Sr  0.7976  0.2024  0.7500
Ge  0.3214  0.6786  0.2500
Ge  0.3766  0.6234  0.7500
Ge  0.4746  0.5254  0.7500
Ge  0.5254  0.4746  0.2500
Ge  0.6234  0.3766  0.2500
Ge  0.6786  0.3214  0.7500


[4]
Starting from a crystal structure in Alexandria, relaxed with PBE, the powder X-ray diffraction pattern of Tm2Al4Pd3Pt was computed for Cu Kα (weighted mean of Kα1 and Kα2).

Peak list (6 most intense, 2θ = 10–90°, by angle)
2θ (°)	intensity
32.04	30
32.93	50
35.13	100
44.33	44
47.13	28
75.61	22

Cell and atoms:
a b c (Å): 4.0865 4.0865 10.9348
angles (deg): 90.00 90.00 90.00
Fractional positions:
Tm  0.0000  0.5000  0.2460
Tm  0.5000  0.0000  0.7540
Al  0.0000  0.0000  0.0000
Al  0.0000  0.5000  0.6323
Al  0.5000  0.0000  0.3677
Al  0.5000  0.5000  0.0000
Pd  0.0000  0.5000  0.8591
Pd  0.5000  0.0000  0.1409
Pd  0.5000  0.5000  0.5000
Pt  0.0000  0.0000  0.5000